No. 1
Starting from a crystal structure in the Materials Project, relaxed with GGA-PBE, the powder XRD pattern of PuGaO3 was calculated for Cu Ka.
Intensities are scaled so that the largest is 100.

Peak list (7 most intense, 5° ≤ 2θ ≤ 70°, by angle)
2θ/deg, intensity, index
23.0, 28, 1 0 0
32.7, 100, 1 1 0
40.3, 20, 1 1 1
46.9, 27, 2 0 0
52.9, 14, 2 1 0
58.4, 40, 2 1 1
68.5, 17, 2 2 0

Unit cell a=3.8733 b=3.8733 c=3.8733 alpha=90.00 beta=90.00 gamma=90.00
Space group Pm-3m (No. 221)
Asymmetric unit:
Pu 0.0000 0.0000 0.0000 x1
Ga 0.5000 0.5000 0.5000 x1
O 0.0000 0.5000 0.5000 x3


No. 2
Starting from a crystal structure in the Materials Project, relaxed with GGA-PBE, the powder XRD pattern of Rb3GaO3 was calculated for Cu Ka.
Intensities are scaled so that the largest is 100.

Peak list (8 most intense, 5° ≤ 2θ ≤ 70°, by angle)
2θ/deg, intensity, index
27.5, 35, 1 1 -2
28.9, 54, 2 2 0
30.5, 100, 0 4 0
30.6, 60, 0 2 2
35.3, 30, 2 2 -2
37.2, 30, 3 1 -1
39.5, 26, 1 3 2
39.9, 36, 2 4 -1

Unit cell a=7.4760 b=11.7158 c=6.9269 alpha=90.00 beta=103.48 gamma=90.00
Space group C2/m (No. 12)
Asymmetric unit:
Rb 0.0000 0.1966 0.0000 x4
Rb 0.0000 0.2599 0.5000 x4
Rb 0.1279 0.5000 0.8451 x4
Ga 0.1641 0.0000 0.6490 x4
O 0.0991 0.0000 0.3578 x4
O 0.2169 0.3688 0.2344 x8


No. 3
Starting from a crystal structure in the Materials Project, relaxed with GGA-PBE, the powder XRD pattern of RbGaS2O8 was calculated for Cu Ka.
Intensities are scaled so that the largest is 100.

Peak list (8 most intense, 5° ≤ 2θ ≤ 70°, by angle)
2θ/deg, intensity, index
21.0, 42, 1 0 0
23.5, 52, 1 0 1
29.6, 100, 0 1 2
36.9, 40, 1 1 0
47.3, 21, 1 0 4
48.0, 28, 0 2 2
57.0, 16, 1 1 4
62.0, 23, 1 2 2

Unit cell a=4.8776 b=4.8776 c=8.6216 alpha=90.00 beta=90.00 gamma=120.00
Space group P321 (No. 150)
Asymmetric unit:
Rb 0.0000 0.0000 0.0000 x1
Ga 0.0000 0.0000 0.5000 x1
S 0.3333 0.6667 0.7049 x2
O 0.0849 0.3490 0.6474 x6
O 0.3333 0.6667 0.8740 x2